(1)
BaAg2Pb4: theoretical XRD peak list (Cu Kα (weighted mean of Kα1 and Kα2)), based on the PBE geometry in Alexandria.

The 10 most intense peaks (2θ from 15° to 90°), low angle first:
29.9°, I = 100.0
30.2°, I = 63.3
31.5°, I = 24.0
32.1°, I = 27.9
36.0°, I = 30.2
36.3°, I = 51.4
38.9°, I = 31.7
52.1°, I = 18.4
55.8°, I = 25.7
56.2°, I = 22.5

Atomic structure:
```
28
Lattice="20.802 0.000 0.000 0.000 4.946 0.000 0.000 0.000 8.024" Properties=species:S:1:pos:R:3 pbc="T T T"
Ba 2.987 1.236 0.080
Ba 7.414 3.709 4.092
Ba 13.388 1.236 3.932
Ba 17.815 3.709 7.945
Ag 0.890 3.709 1.984
Ag 4.517 1.236 4.087
Ag 5.884 3.709 0.074
Ag 9.511 1.236 5.996
Ag 11.291 3.709 2.028
Ag 14.917 1.236 7.950
Ag 16.285 3.709 3.938
Ag 19.912 1.236 6.041
Pb 0.604 3.709 6.849
Pb 1.397 1.236 3.970
Pb 3.871 3.709 5.693
Pb 3.886 3.709 2.478
Pb 6.515 1.236 6.490
Pb 6.530 1.236 1.680
Pb 9.004 3.709 7.982
Pb 9.797 1.236 2.836
Pb 11.005 3.709 5.188
Pb 11.797 1.236 0.043
Pb 14.272 3.709 6.344
Pb 14.287 3.709 1.534
Pb 16.916 1.236 5.547
Pb 16.931 1.236 2.332
Pb 19.405 3.709 4.055
Pb 20.198 1.236 1.176
```

(2)
Ba2Ag5Pb3: theoretical XRD peak list (Cu Kα (weighted mean of Kα1 and Kα2)), based on the PBE geometry in Alexandria.

The 10 most intense peaks (2θ from 15° to 90°), low angle first:
19.1°, I = 18.1
29.3°, I = 41.7
29.4°, I = 100.0
35.4°, I = 84.1
36.0°, I = 24.6
40.3°, I = 35.7
46.6°, I = 23.0
50.9°, I = 29.5
51.4°, I = 17.8
59.9°, I = 31.8

Atomic structure:
```
10
Lattice="5.072 0.000 0.000 0.000 5.072 0.000 0.000 0.000 11.453" Properties=species:S:1:pos:R:3 pbc="T T T"
Ba 0.000 2.536 2.615
Ba 2.536 0.000 8.839
Ag 0.000 0.000 0.000
Ag 0.000 0.000 5.727
Ag 0.000 2.536 10.334
Ag 2.536 0.000 1.120
Ag 2.536 2.536 0.000
Pb 0.000 2.536 7.498
Pb 2.536 0.000 3.956
Pb 2.536 2.536 5.727
```

(3)
Ba2Ag4Pb5: theoretical XRD peak list (Cu Kα (weighted mean of Kα1 and Kα2)), based on the PBE geometry in Alexandria.

The 10 most intense peaks (2θ from 15° to 90°), low angle first:
28.8°, I = 72.3
29.6°, I = 38.8
32.3°, I = 100.0
32.4°, I = 54.4
35.6°, I = 70.5
36.3°, I = 58.2
37.2°, I = 44.9
49.4°, I = 33.2
54.7°, I = 31.0
55.1°, I = 30.4

Atomic structure:
```
11
Lattice="6.958 -3.352 0.000 6.958 3.352 0.000 -6.889 0.000 6.958" Properties=species:S:1:pos:R:3 pbc="T T T"
Ba 1.525 0.000 1.519
Ba 5.501 0.000 5.439
Ag -0.702 0.000 4.133
Ag -2.770 0.000 6.232
Ag 9.796 0.000 0.725
Ag 7.728 0.000 2.825
Pb 4.868 1.663 2.107
Pb 2.158 1.663 4.851
Pb 6.958 0.000 0.000
Pb 4.868 -1.663 2.107
Pb 2.158 -1.663 4.851
```